Entry 1:
Starting from DFT lattice parameters and positions (GGA-PBE), the powder diffraction line list of HoFe2 was computed for Cu Kα.

Principal peaks in the range 5° ≤ 2θ ≤ 70°, by intensity:
- 2θ = 41.26°, d 2.188, rel. 100
- 2θ = 38.28°, d 2.351, rel. 98
- 2θ = 34.84°, d 2.575, rel. 69
- 2θ = 41.95°, d 2.154, rel. 53
- 2θ = 64.75°, d 1.440, rel. 42
- 2θ = 66.84°, d 1.400, rel. 23
- 2θ = 40.45°, d 2.230, rel. 16
- 2θ = 29.40°, d 3.038, rel. 15

Cell and atoms:
```
12
Lattice="5.150 0.000 0.000 -2.575 4.460 0.000 0.000 0.000 8.301" Properties=species:S:1:pos:R:3 pbc="T T T"
Ho 0.000 2.974 0.516
Ho 0.000 2.974 3.635
Ho 2.575 1.487 4.666
Ho 2.575 1.487 7.785
Fe 0.000 0.000 0.000
Fe 0.000 0.000 4.150
Fe 0.000 1.478 6.226
Fe -1.295 3.721 6.226
Fe 1.280 0.739 2.075
Fe 1.295 3.721 6.226
Fe 3.871 0.739 2.075
Fe 2.575 2.983 2.075
```


Entry 2:
Starting from DFT lattice parameters and positions (GGA-PBE), the powder diffraction line list of Sm12Y2Ho5 was computed for Cu Kα.

Principal peaks in the range 5° ≤ 2θ ≤ 70°, by intensity:
- 2θ = 30.60°, d 2.921, rel. 100
- 2θ = 30.90°, d 2.894, rel. 74
- 2θ = 35.26°, d 2.546, rel. 32
- 2θ = 35.56°, d 2.525, rel. 27
- 2θ = 36.15°, d 2.485, rel. 24
- 2θ = 50.94°, d 1.793, rel. 16
- 2θ = 51.38°, d 1.778, rel. 16
- 2θ = 61.14°, d 1.516, rel. 14

Cell and atoms:
```
19
Lattice="7.905 -5.091 0.000 7.905 5.091 0.000 -0.164 0.000 7.939" Properties=species:S:1:pos:R:3 pbc="T T T"
Sm 0.780 0.000 1.654
Sm 4.740 2.370 5.594
Sm 6.216 2.784 0.881
Sm 9.429 2.784 7.057
Sm 5.392 0.000 3.001
Sm 10.906 2.370 2.345
Sm 4.740 -2.370 5.594
Sm 10.254 0.000 4.938
Sm 6.216 -2.784 0.881
Sm 9.429 -2.784 7.057
Sm 10.906 -2.370 2.345
Sm 14.866 0.000 6.284
Y 7.823 2.399 3.969
Y 7.823 -2.399 3.969
Ho 2.245 0.000 4.638
Ho 4.011 0.000 0.070
Ho 7.905 0.000 0.000
Ho 11.634 0.000 7.869
Ho 13.401 0.000 3.301
```


Entry 3:
Starting from DFT lattice parameters and positions (GGA-PBE), the powder diffraction line list of TmLu2Zn was computed for Cu Kα.

Principal peaks in the range 5° ≤ 2θ ≤ 70°, by intensity:
- 2θ = 33.30°, d 2.690, rel. 100
- 2θ = 36.45°, d 2.465, rel. 47
- 2θ = 63.61°, d 1.463, rel. 31
- 2θ = 27.68°, d 3.223, rel. 20
- 2θ = 52.50°, d 1.743, rel. 17
- 2θ = 49.08°, d 1.856, rel. 15
- 2θ = 31.72°, d 2.821, rel. 12
- 2θ = 60.84°, d 1.523, rel. 12

Cell and atoms:
```
4
Lattice="3.486 0.000 0.000 0.000 3.486 0.000 0.000 0.000 8.463" Properties=species:S:1:pos:R:3 pbc="T T T"
Tm 0.000 0.000 0.000
Lu 1.743 1.743 2.487
Lu 1.743 1.743 5.976
Zn 0.000 0.000 4.232
```


Entry 4:
Starting from DFT lattice parameters and positions (GGA-PBE), the powder diffraction line list of Tb2Si5Ru3 was computed for Cu Kα.

Principal peaks in the range 5° ≤ 2θ ≤ 70°, by intensity:
- 2θ = 35.39°, d 2.536, rel. 100
- 2θ = 43.89°, d 2.063, rel. 53
- 2θ = 34.92°, d 2.570, rel. 38
- 2θ = 37.01°, d 2.429, rel. 37
- 2θ = 23.45°, d 3.793, rel. 27
- 2θ = 56.14°, d 1.638, rel. 27
- 2θ = 23.84°, d 3.733, rel. 27
- 2θ = 29.42°, d 3.036, rel. 23

Cell and atoms:
```
20
Lattice="-4.824 6.072 2.811 4.824 -6.072 2.811 4.824 6.072 -2.811" Properties=species:S:1:pos:R:3 pbc="T T T"
Tb 2.243 1.640 0.000
Tb 2.243 -1.640 2.811
Tb 2.581 7.712 0.000
Tb 2.581 4.432 2.811
Si 4.824 -2.526 1.406
Si 6.450 1.164 0.000
Si 0.000 0.000 1.406
Si 1.625 4.908 0.000
Si 4.824 2.526 1.406
Si 0.000 3.545 1.406
Si 3.199 1.164 2.811
Si 0.000 0.000 4.217
Si -1.625 4.908 2.811
Si 0.000 8.598 1.406
Ru 3.927 -4.298 2.811
Ru 4.824 0.000 1.406
Ru 3.927 4.298 0.000
Ru 0.897 1.773 2.811
Ru 0.000 6.072 1.406
Ru 0.897 10.370 0.000
```


Q: What is the formula in the fourth record?
A: Tb2Si5Ru3